Entry 1:
This entry pairs a crystal structure of LiPu2Cl8 with its simulated PXRD pattern. Radiation: Cu Kα (λ = 1.5418 Å). Structure: a cell relaxed with GGA-PBE.
No peak broadening, texture or thermal motion is included.

The 10 most intense peaks (2θ = 10–90°), sorted by position:
- 6.703 Å, 13.2 deg, I 100.0
- 6.445 Å, 13.7 deg, I 67.2
- 4.852 Å, 18.3 deg, I 27.9
- 4.463 Å, 19.9 deg, I 26.2
- 3.056 Å, 29.2 deg, I 14.0
- 2.841 Å, 31.5 deg, I 20.6
- 2.819 Å, 31.7 deg, I 16.8
- 2.593 Å, 34.6 deg, I 34.2
- 2.555 Å, 35.1 deg, I 16.0
- 1.968 Å, 46.1 deg, I 21.6

Structural model:
```
LiPu2Cl8
1.0
9.7124 -1.8635 0.0000
9.7124 1.8635 0.0000
-0.3521 0.0000 8.9268
Li Pu Cl
1 2 8
Cartesian
0.0000 0.0000 0.0000
6.6973 0.0000 6.5531
12.3753 0.0000 2.3737
1.8320 0.0000 4.1457
2.5747 0.0000 0.3217
4.7057 0.0000 2.6906
9.2868 0.0000 7.1762
9.7858 0.0000 1.7506
14.3669 0.0000 6.2362
16.4979 0.0000 8.6052
17.2406 0.0000 4.7812
```

---

Entry 2:
This entry pairs a crystal structure of Ti2InGa with its simulated PXRD pattern. Radiation: Cu Kα (λ = 1.5418 Å). Structure: a cell relaxed with GGA-PBE.
No peak broadening, texture or thermal motion is included.

The 10 most intense peaks (2θ = 10–90°), sorted by position:
- 4.114 Å, 21.6 deg, I 12.7
- 2.913 Å, 30.7 deg, I 10.1
- 2.745 Å, 32.6 deg, I 9.9
- 2.377 Å, 37.8 deg, I 100.0
- 2.059 Å, 44.0 deg, I 47.7
- 1.842 Å, 49.5 deg, I 6.2
- 1.680 Å, 54.6 deg, I 5.8
- 1.456 Å, 63.9 deg, I 28.2
- 1.242 Å, 76.8 deg, I 31.7
- 1.189 Å, 80.9 deg, I 9.0

Structural model:
```
Ti2InGa
1.0
2.9129 0.0000 0.0000
0.0000 2.9129 0.0000
0.0000 0.0000 8.2282
Ti In Ga
2 1 1
Cartesian
0.0000 0.0000 1.8569
0.0000 0.0000 6.3713
1.4565 1.4565 4.1141
1.4565 1.4565 0.0000
```

---

Entry 3:
This entry pairs a crystal structure of AlFePt with its simulated PXRD pattern. Radiation: Cu Kα (λ = 1.5418 Å). Structure: a cell relaxed with GGA-PBE.
No peak broadening, texture or thermal motion is included.

The 10 most intense peaks (2θ = 10–90°), sorted by position:
- 3.318 Å, 26.9 deg, I 39.9
- 3.267 Å, 27.3 deg, I 40.0
- 2.441 Å, 36.8 deg, I 19.4
- 2.181 Å, 41.4 deg, I 100.0
- 2.080 Å, 43.5 deg, I 21.6
- 1.958 Å, 46.4 deg, I 18.0
- 1.680 Å, 54.6 deg, I 12.2
- 1.426 Å, 65.5 deg, I 12.6
- 1.220 Å, 78.4 deg, I 15.2
- 1.169 Å, 82.5 deg, I 13.3

Structural model:
```
AlFePt
1.0
1.6927 -6.2413 0.0000
1.6927 6.2413 0.0000
0.0000 0.0000 3.9167
Al Fe Pt
2 2 2
Cartesian
1.6927 5.1213 2.9375
1.6927 -5.1213 0.9792
1.6927 3.0981 0.9792
1.6927 -3.0981 2.9375
1.6927 1.0453 2.9375
1.6927 -1.0453 0.9792
```